1.
The following is a simulated X-ray powder pattern of Tb8CuOs2. It was derived from a crystal structure in Alexandria, relaxed with GGA-PBE, using copper Kα.
Neutral-atom scattering factors, no anomalous dispersion.

Crystal structure
abc: 7.6035 7.6035 5.8478
angles: 99.51 99.51 111.21
Atoms (fractional coordinates):
1 Tb 0.0000 0.0000 0.0000
2 Tb 0.0335 0.2988 0.5935
3 Tb 0.1421 0.5921 0.1985
4 Tb 0.2988 0.0335 0.5935
5 Tb 0.4439 0.7090 0.7953
6 Tb 0.5921 0.1421 0.1985
7 Tb 0.7090 0.4439 0.7953
8 Tb 0.7394 0.7394 0.3968
9 Cu 0.3679 0.3679 0.3415
10 Os 0.0609 0.6833 0.6963
11 Os 0.6833 0.0609 0.6963

Peak list (8 most intense, 2θ from 10° to 90°, sorted by position)
Position (°2θ), I (rel.)
15.85, 32
30.54, 90
32.73, 100
35.14, 37
36.07, 62
39.35, 41
39.57, 39
55.45, 29

2.
The following is a simulated X-ray powder pattern of CuTcOs2. It was derived from a crystal structure in Alexandria, relaxed with GGA-PBE, using copper Kα.
Neutral-atom scattering factors, no anomalous dispersion.

Crystal structure
abc: 2.7226 3.8426 5.3216
angles: 90.00 90.17 90.00
Atoms (fractional coordinates):
1 Cu 0.0000 0.0000 0.0000
2 Tc 0.0000 0.0000 0.5000
3 Os 0.4973 0.5000 0.2441
4 Os 0.5027 0.5000 0.7559

Peak list (8 most intense, 2θ from 10° to 90°, sorted by position)
Position (°2θ), I (rel.)
23.15, 29
40.61, 100
41.27, 95
47.31, 32
47.72, 31
47.87, 31
69.47, 20
83.80, 24

3.
The following is a simulated X-ray powder pattern of CuTc3Os. It was derived from a crystal structure in Alexandria, relaxed with GGA-PBE, using copper Kα.
Neutral-atom scattering factors, no anomalous dispersion.

Crystal structure
abc: 4.3511 4.3511 4.3511
angles: 90.00 90.00 90.00
Atoms (fractional coordinates):
1 Cu 0.0000 0.0000 0.0000
2 Tc 0.0000 0.0000 0.5000
3 Tc 0.0000 0.5000 0.0000
4 Tc 0.5000 0.0000 0.0000
5 Os 0.5000 0.5000 0.5000

Peak list (8 most intense, 2θ from 10° to 90°, sorted by position)
Position (°2θ), I (rel.)
29.02, 35
35.74, 100
41.51, 87
51.44, 15
60.15, 57
71.98, 39
75.72, 19
83.05, 7

4.
The following is a simulated X-ray powder pattern of CuTe2Os. It was derived from a crystal structure in Alexandria, relaxed with GGA-PBE, using copper Kα.
Neutral-atom scattering factors, no anomalous dispersion.

Crystal structure
abc: 4.3330 4.9086 4.3574
angles: 90.00 108.89 90.00
Atoms (fractional coordinates):
1 Cu 0.0000 0.0000 0.0000
2 Te 0.3648 0.0000 0.6318
3 Te 0.8329 0.5000 0.1657
4 Os 0.2015 0.5000 0.7967

Peak list (8 most intense, 2θ from 10° to 90°, sorted by position)
Position (°2θ), I (rel.)
21.55, 51
21.68, 52
31.18, 99
35.53, 100
36.61, 92
46.27, 85
46.46, 85
51.94, 67

5.
The following is a simulated X-ray powder pattern of Ti5CuOs4. It was derived from a crystal structure in Alexandria, relaxed with GGA-PBE, using copper Kα.
Neutral-atom scattering factors, no anomalous dispersion.

Crystal structure
abc: 3.0920 3.0920 15.4806
angles: 90.00 90.00 90.00
Atoms (fractional coordinates):
1 Ti 0.0000 0.0000 0.0000
2 Ti 0.0000 0.0000 0.2002
3 Ti 0.0000 0.0000 0.3997
4 Ti 0.0000 0.0000 0.6003
5 Ti 0.0000 0.0000 0.7998
6 Cu 0.5000 0.5000 0.5000
7 Os 0.5000 0.5000 0.1003
8 Os 0.5000 0.5000 0.3017
9 Os 0.5000 0.5000 0.6983
10 Os 0.5000 0.5000 0.8997

Peak list (8 most intense, 2θ from 10° to 90°, sorted by position)
Position (°2θ), I (rel.)
11.43, 4
28.86, 39
41.27, 100
51.15, 11
59.79, 16
67.73, 15
75.24, 33
89.64, 11

6.
The following is a simulated X-ray powder pattern of Tl4Cu2Os. It was derived from a crystal structure in Alexandria, relaxed with GGA-PBE, using copper Kα.
Neutral-atom scattering factors, no anomalous dispersion.

Crystal structure
abc: 5.3967 5.3967 12.8713
angles: 90.00 90.00 90.00
Atoms (fractional coordinates):
1 Tl 0.0000 0.0000 0.2057
2 Tl 0.0000 0.0000 0.7943
3 Tl 0.0000 0.5000 0.0000
4 Tl 0.0000 0.5000 0.5000
5 Tl 0.5000 0.0000 0.0000
6 Tl 0.5000 0.0000 0.5000
7 Tl 0.5000 0.5000 0.2943
8 Tl 0.5000 0.5000 0.7057
9 Cu 0.0000 0.0000 0.4064
10 Cu 0.0000 0.0000 0.5936
11 Cu 0.5000 0.5000 0.0936
12 Cu 0.5000 0.5000 0.9064
13 Os 0.0000 0.0000 0.0000
14 Os 0.5000 0.5000 0.5000

Peak list (8 most intense, 2θ from 10° to 90°, sorted by position)
Position (°2θ), I (rel.)
13.76, 29
27.17, 65
27.72, 28
33.20, 100
38.76, 53
43.78, 33
47.66, 37
51.93, 46

7.
The following is a simulated X-ray powder pattern of VCu2Os. It was derived from a crystal structure in Alexandria, relaxed with GGA-PBE, using copper Kα.
Neutral-atom scattering factors, no anomalous dispersion.

Crystal structure
abc: 5.9305 5.9305 5.9305
angles: 90.00 90.00 90.00
Atoms (fractional coordinates):
1 V 0.0000 0.0000 0.0000
2 V 0.0000 0.5000 0.5000
3 V 0.5000 0.0000 0.5000
4 V 0.5000 0.5000 0.0000
5 Cu 0.2500 0.2500 0.2500
6 Cu 0.2500 0.2500 0.7500
7 Cu 0.2500 0.7500 0.2500
8 Cu 0.2500 0.7500 0.7500
9 Cu 0.7500 0.2500 0.2500
10 Cu 0.7500 0.2500 0.7500
11 Cu 0.7500 0.7500 0.2500
12 Cu 0.7500 0.7500 0.7500
13 Os 0.0000 0.0000 0.5000
14 Os 0.0000 0.5000 0.0000
15 Os 0.5000 0.0000 0.0000
16 Os 0.5000 0.5000 0.5000

Peak list (8 most intense, 2θ from 10° to 90°, sorted by position)
Position (°2θ), I (rel.)
26.02, 33
30.14, 9
43.14, 100
51.08, 17
62.66, 16
69.03, 7
79.11, 32
84.98, 6

8.
The following is a simulated X-ray powder pattern of VZnCuOs. It was derived from a crystal structure in Alexandria, relaxed with GGA-PBE, using copper Kα.
Neutral-atom scattering factors, no anomalous dispersion.

Crystal structure
abc: 5.9980 5.9980 5.9980
angles: 90.00 90.00 90.00
Atoms (fractional coordinates):
1 V 0.0000 0.0000 0.0000
2 V 0.0000 0.5000 0.5000
3 V 0.5000 0.0000 0.5000
4 V 0.5000 0.5000 0.0000
5 Zn 0.0000 0.0000 0.5000
6 Zn 0.0000 0.5000 0.0000
7 Zn 0.5000 0.0000 0.0000
8 Zn 0.5000 0.5000 0.5000
9 Cu 0.2500 0.2500 0.2500
10 Cu 0.2500 0.7500 0.7500
11 Cu 0.7500 0.2500 0.7500
12 Cu 0.7500 0.7500 0.2500
13 Os 0.2500 0.2500 0.7500
14 Os 0.2500 0.7500 0.2500
15 Os 0.7500 0.2500 0.2500
16 Os 0.7500 0.7500 0.7500

Peak list (8 most intense, 2θ from 10° to 90°, sorted by position)
Position (°2θ), I (rel.)
25.73, 25
29.79, 16
42.64, 100
50.46, 13
61.88, 16
68.15, 6
70.17, 6
78.05, 32

9.
The following is a simulated X-ray powder pattern of Zr5CuOs4. It was derived from a crystal structure in Alexandria, relaxed with GGA-PBE, using copper Kα.
Neutral-atom scattering factors, no anomalous dispersion.

Crystal structure
abc: 3.2686 3.2686 16.6617
angles: 90.00 90.00 90.00
Atoms (fractional coordinates):
1 Zr 0.0000 0.0000 0.0000
2 Zr 0.0000 0.0000 0.1996
3 Zr 0.0000 0.0000 0.3991
4 Zr 0.0000 0.0000 0.6009
5 Zr 0.0000 0.0000 0.8004
6 Cu 0.5000 0.5000 0.5000
7 Os 0.5000 0.5000 0.0999
8 Os 0.5000 0.5000 0.2999
9 Os 0.5000 0.5000 0.7001
10 Os 0.5000 0.5000 0.9001

Peak list (8 most intense, 2θ from 10° to 90°, sorted by position)
Position (°2θ), I (rel.)
27.28, 9
38.58, 100
38.97, 49
55.12, 9
56.29, 17
69.55, 17
70.32, 34
82.71, 11

10.
The following is a simulated X-ray powder pattern of Cu3P. It was derived from a crystal structure in Alexandria, relaxed with GGA-PBE, using copper Kα.
Neutral-atom scattering factors, no anomalous dispersion.

Crystal structure
abc: 5.1658 5.1658 4.2322
angles: 90.00 90.00 120.00
Atoms (fractional coordinates):
1 Cu 0.1665 0.3331 0.2500
2 Cu 0.1665 0.8335 0.2500
3 Cu 0.3331 0.1665 0.7500
4 Cu 0.6669 0.8335 0.2500
5 Cu 0.8335 0.1665 0.7500
6 Cu 0.8335 0.6669 0.7500
7 P 0.3333 0.6667 0.7500
8 P 0.6667 0.3333 0.2500

Peak list (8 most intense, 2θ from 10° to 90°, sorted by position)
Position (°2θ), I (rel.)
29.04, 9
40.32, 25
42.73, 28
45.89, 100
60.20, 14
73.30, 15
80.49, 17
88.75, 18

11.
The following is a simulated X-ray powder pattern of CuP. It was derived from a crystal structure in Alexandria, relaxed with GGA-PBE, using copper Kα.
Neutral-atom scattering factors, no anomalous dispersion.

Crystal structure
abc: 7.8490 2.6698 5.8922
angles: 90.00 106.27 90.00
Atoms (fractional coordinates):
1 Cu 0.2151 0.0000 0.1724
2 Cu 0.2849 0.5000 0.8276
3 Cu 0.7151 0.5000 0.1724
4 Cu 0.7849 0.0000 0.8276
5 P 0.0330 0.0000 0.6993
6 P 0.4670 0.5000 0.3007
7 P 0.5330 0.5000 0.6993
8 P 0.9670 0.0000 0.3007

Peak list (8 most intense, 2θ from 10° to 90°, sorted by position)
Position (°2θ), I (rel.)
15.67, 55
31.64, 86
32.02, 56
35.68, 61
37.74, 69
40.58, 66
49.12, 100
50.77, 88

12.
The following is a simulated X-ray powder pattern of Cu3P. It was derived from a crystal structure in Alexandria, relaxed with GGA-PBE, using copper Kα.
Neutral-atom scattering factors, no anomalous dispersion.

Crystal structure
abc: 2.6467 8.1961 4.5728
angles: 90.00 90.00 90.00
Atoms (fractional coordinates):
1 Cu 0.0000 0.0000 0.0000
2 Cu 0.0000 0.2402 0.6478
3 Cu 0.0000 0.7598 0.6478
4 Cu 0.5000 0.2598 0.1478
5 Cu 0.5000 0.5000 0.5000
6 Cu 0.5000 0.7402 0.1478
7 P 0.0000 0.5000 0.9649
8 P 0.5000 0.0000 0.4649

Peak list (8 most intense, 2θ from 10° to 90°, sorted by position)
Position (°2θ), I (rel.)
39.36, 28
44.20, 23
45.38, 100
60.66, 14
71.41, 10
82.17, 14
87.96, 11
88.68, 8